Starting from a cell relaxed with PBE+U, the powder X-ray diffraction pattern of MgAl8Fe3P8O40 was calculated for Cu Kα (weighted mean of Kα1 and Kα2).
Peak positions follow from Bragg's law for the DFT cell and can differ from measured ones.

Principal peaks in the range 10 to 90 degrees two-theta, sorted by position:
14.05°, I 38; 18.73°, I 29; 27.29°, I 23; 27.57°, I 81; 27.83°, I 100; 28.02°, I 37; 28.13°, I 19; 28.32°, I 29; 28.66°, I 16; 34.52°, I 24; 57.97°, I 19; 58.60°, I 19

Cell and atoms:
```
60
Lattice="7.1929 0.0000 0.0000 0.0325 7.4200 0.0000 0.3369 0.0004 12.4602" Properties=species:S:1:pos:R:3 pbc="T T T"
Mg 0.0000 0.0000 0.0000
Al 1.1165 5.7323 7.6590
Al 0.9512 2.0069 1.7236
Al 2.8334 5.3945 4.5310
Al 3.0874 1.7245 11.0048
Al 4.4750 5.6959 1.4554
Al 4.7290 2.0259 7.9292
Al 6.6112 5.4135 10.7366
Al 6.4459 1.6881 4.8012
Fe 2.0565 3.6941 9.3442
Fe 3.7649 0.0002 6.2301
Fe 5.5059 3.7263 3.1160
P 0.1401 6.5565 3.1328
P 1.7867 4.5888 0.0530
P 1.9667 2.8202 6.1816
P 3.6667 0.8927 3.0758
P 3.8957 6.5277 9.3844
P 5.5957 4.6002 6.2786
P 5.7756 2.8316 12.4072
P 7.4223 0.8639 9.3274
O 0.4948 4.9082 9.3006
O 0.5031 0.0710 1.9588
O 0.7947 0.0391 8.1762
O 0.7801 1.9709 5.7545
O 1.0094 5.5395 11.9616
O 1.3099 1.8429 9.9149
O 1.3055 5.6881 3.5948
O 1.2733 3.7383 1.1951
O 1.6066 3.7466 7.3924
O 1.6519 1.2891 0.0256
O 2.2098 6.2029 6.2047
O 2.5293 3.6784 11.2992
O 2.5202 3.6694 5.0540
O 2.4972 1.7625 2.6579
O 2.7941 5.5670 8.8113
O 3.0482 1.8428 6.7596
O 2.9572 5.4688 0.4778
O 3.3730 7.3951 10.5240
O 3.3297 7.3855 4.2847
O 3.6423 2.5130 9.3600
O 3.9201 4.9074 3.1002
O 4.2327 0.0349 8.1755
O 4.1894 0.0253 1.9363
O 4.6052 1.9516 11.9824
O 4.5142 5.5776 5.7007
O 4.7682 1.8534 3.6489
O 5.0651 5.6579 9.8023
O 5.0422 3.7510 7.4062
O 5.0330 3.7420 1.1610
O 5.3526 1.2175 6.2556
O 5.9105 6.1313 12.4346
O 5.9558 3.6738 5.0678
O 6.2890 3.6821 11.2651
O 6.2569 1.7323 8.8654
O 6.2524 5.5775 2.5453
O 6.5530 1.8809 0.4986
O 6.7823 5.4495 6.7057
O 6.7677 7.3813 4.2840
O 7.0593 7.3494 10.5014
O 7.0676 2.5122 3.1596
```

Starting from a cell relaxed with PBE+U, the powder X-ray diffraction pattern of Mg2Al4FeP4O24 was calculated for Cu Kα (weighted mean of Kα1 and Kα2).
Peak positions follow from Bragg's law for the DFT cell and can differ from measured ones.

Principal peaks in the range 10 to 90 degrees two-theta, sorted by position:
13.15°, I 49; 18.46°, I 100; 21.65°, I 32; 23.20°, I 31; 26.44°, I 97; 28.15°, I 24; 28.51°, I 40; 28.90°, I 32; 29.08°, I 71; 30.14°, I 39; 34.93°, I 39; 37.45°, I 25

Cell and atoms:
```
35
Lattice="5.1400 0.0000 0.0000 2.5452 6.8125 0.0000 0.2076 1.7809 11.6275" Properties=species:S:1:pos:R:3 pbc="T T T"
Mg 1.3594 3.3423 3.1391
Mg 6.5333 5.2512 8.4884
Al 0.0000 0.0000 0.0000
Al 1.3764 4.2967 5.8138
Al 2.6987 6.6575 3.5821
Al 5.1941 1.9359 8.0455
Fe 1.2726 3.4063 0.0000
P 3.8632 6.2598 6.5104
P 3.8768 4.5862 1.5953
P 4.0159 4.0073 10.0322
P 4.0295 2.3337 5.1171
O 1.0959 3.3922 7.4510
O 0.7140 1.8027 9.8147
O 1.1692 1.4249 0.4788
O 1.0951 1.3024 2.6935
O 2.6990 5.2519 6.8143
O 2.7028 4.8386 10.0716
O 3.7973 7.3799 7.5642
O 2.6484 3.6233 1.5363
O 3.7373 6.8046 5.0988
O 2.6464 3.0569 4.9280
O 3.8621 5.5283 0.3848
O 3.8695 5.3144 2.9470
O 4.0232 3.2791 8.6805
O 4.0306 3.0652 11.2428
O 5.2463 5.5365 6.6995
O 4.1555 1.7889 6.5287
O 5.2443 4.9702 10.0912
O 4.0955 1.2136 4.0633
O 5.1900 3.7549 1.5560
O 5.1937 3.3416 4.8133
O 6.7977 7.2911 8.9341
O 6.7236 7.1686 11.1487
O 7.1787 6.7908 1.8128
O 6.7969 5.2013 4.1765
```

Starting from a cell relaxed with PBE+U, the powder X-ray diffraction pattern of Mg3Al8FeSi10O36 was calculated for Cu Kα (weighted mean of Kα1 and Kα2).
Peak positions follow from Bragg's law for the DFT cell and can differ from measured ones.

Principal peaks in the range 10 to 90 degrees two-theta, sorted by position:
10.21°, I 58; 10.33°, I 100; 17.80°, I 12; 21.49°, I 54; 26.00°, I 38; 26.15°, I 24; 27.95°, I 13; 28.14°, I 39; 28.90°, I 27; 29.03°, I 23; 29.25°, I 27; 53.48°, I 21

Cell and atoms:
```
58
Lattice="4.9261 -8.6655 0.0000 4.9261 8.6655 0.0000 -0.0049 0.0000 9.4398" Properties=species:S:1:pos:R:3 pbc="T T T"
Mg 4.9261 8.6650 0.0000
Mg -0.0025 0.0000 4.7199
Mg 4.9261 3.0319 0.0000
Al 3.0246 4.9814 7.0848
Al 2.4556 1.5098 4.7212
Al 2.4583 1.5149 9.4396
Al 1.8904 -1.9484 7.0810
Al 6.8226 4.9814 2.3551
Al 7.3890 1.5149 0.0002
Al 7.3916 1.5098 4.7187
Al 7.9568 -1.9484 2.3588
Fe 4.9236 3.0452 4.7199
Si 2.3249 3.5074 2.3549
Si 4.9236 5.8597 4.7199
Si 4.9261 5.8492 0.0000
Si 2.5959 -0.4737 2.3597
Si 4.1446 0.5010 7.0849
Si 5.7026 0.5010 2.3550
Si 7.5224 3.5074 7.0849
Si 7.2514 -0.4737 7.0801
Si 4.1475 -6.1402 2.3601
Si 5.6997 -6.1402 7.0797
O 1.0109 1.5746 5.7436
O 1.0119 1.5746 8.4165
O 4.0975 6.9265 0.9326
O 4.0944 6.9306 3.7852
O 4.0844 4.7963 5.6550
O 4.0932 4.7701 8.5078
O 3.0277 2.8386 3.7008
O 3.0468 2.8412 1.0197
O 1.8750 0.1892 3.6982
O 1.8777 0.1909 1.0198
O 5.7528 6.9306 5.6546
O 5.7498 6.9265 8.5072
O 5.7629 4.7963 3.7849
O 5.7540 4.7701 0.9320
O 3.8909 1.4321 5.7442
O 3.9058 1.4571 8.4178
O 3.0979 -0.7116 7.0840
O 2.4703 -2.0567 2.3589
O 4.1519 0.0250 2.3593
O 2.4661 -3.5762 7.0795
O 5.9415 1.4571 1.0220
O 5.9564 1.4321 3.6956
O 6.8005 2.8412 8.4201
O 6.8195 2.8386 5.7390
O 5.6953 0.0250 7.0806
O 3.1014 -4.9257 2.3601
O 6.7493 -0.7116 2.3558
O 4.1510 -5.6580 7.0806
O 7.9696 0.1909 8.4200
O 7.9722 0.1892 5.7416
O 8.8354 1.5746 1.0234
O 8.8363 1.5746 3.6963
O 7.3770 -2.0567 7.0809
O 5.6963 -5.6580 2.3592
O 7.3812 -3.5762 2.3603
O 6.7459 -4.9257 7.0797
```

Starting from a cell relaxed with PBE+U, the powder X-ray diffraction pattern of Tb4MgAl2Fe2O12 was calculated for Cu Kα (weighted mean of Kα1 and Kα2).
Peak positions follow from Bragg's law for the DFT cell and can differ from measured ones.

Principal peaks in the range 10 to 90 degrees two-theta, sorted by position:
15.20°, I 38; 19.05°, I 80; 26.00°, I 44; 28.99°, I 57; 30.68°, I 40; 32.06°, I 97; 32.38°, I 44; 32.57°, I 100; 33.39°, I 68; 34.39°, I 43; 35.38°, I 35; 43.88°, I 38

Cell and atoms:
```
21
Lattice="5.4061 0.0000 0.0000 0.5283 5.8427 0.0000 0.7145 0.5931 8.1634" Properties=species:S:1:pos:R:3 pbc="T T T"
Tb 0.0000 0.0000 0.0000
Tb 0.6056 1.1540 4.6082
Tb 3.0411 3.9969 4.3294
Tb 3.2861 0.9896 2.5661
Mg 3.6290 2.8049 7.5773
Al 3.9295 6.1649 6.3776
Al 5.6712 3.1232 1.9773
Fe 0.9702 3.7552 6.8074
Fe 3.0418 4.4064 1.0396
O 1.3875 3.4988 0.4516
O 2.1712 5.5139 6.0908
O 1.7318 2.5662 2.9828
O 2.0595 5.4899 3.0286
O 2.2045 2.5235 5.9068
O 2.1917 0.4087 0.0716
O 4.4202 5.8971 4.5845
O 4.6251 4.6005 7.1146
O 4.6104 2.6351 3.5018
O 4.8396 1.5259 6.5468
O 4.8269 4.7852 1.7509
O 4.6471 1.9211 0.9611
```

Starting from a cell relaxed with PBE+U, the powder X-ray diffraction pattern of Tb4MgAl2Fe2O12 was calculated for Cu Kα (weighted mean of Kα1 and Kα2).
Peak positions follow from Bragg's law for the DFT cell and can differ from measured ones.

Principal peaks in the range 10 to 90 degrees two-theta, sorted by position:
21.58°, I 81; 22.66°, I 46; 24.16°, I 33; 25.22°, I 41; 26.10°, I 34; 30.81°, I 83; 31.97°, I 62; 33.01°, I 100; 33.54°, I 45; 38.14°, I 38; 40.53°, I 40; 46.52°, I 49

Cell and atoms:
```
21
Lattice="5.3644 0.0000 0.0000 -0.0396 5.8555 0.0000 -0.7133 -0.4064 8.2369" Properties=species:S:1:pos:R:3 pbc="T T T"
Tb 0.0000 0.0000 0.0000
Tb -0.0279 4.3596 4.2634
Tb 2.2298 1.4429 4.5312
Tb 2.3840 2.3048 8.1507
Mg 0.5781 3.3461 1.3537
Al -0.4516 2.1130 6.3730
Al 2.8060 5.3377 1.9970
Fe 2.2759 4.7776 6.3350
Fe 4.9823 1.2713 3.0243
O 0.1639 1.6650 8.1292
O 0.8080 0.0519 5.7391
O 1.1298 -0.0435 2.7347
O 1.1738 2.7964 3.0741
O 1.1917 2.9442 5.9957
O 1.8577 4.6731 0.4970
O 3.7236 0.9991 1.3454
O 3.4843 5.5044 3.7362
O 3.4542 0.8747 6.6833
O 4.1901 4.1471 1.4576
O 3.8989 3.6916 6.8903
O 4.3072 2.3170 4.6026
```

Starting from a cell relaxed with PBE+U, the powder X-ray diffraction pattern of Tb4MgAl2Fe2O12 was calculated for Cu Kα (weighted mean of Kα1 and Kα2).
Peak positions follow from Bragg's law for the DFT cell and can differ from measured ones.

Principal peaks in the range 10 to 90 degrees two-theta, sorted by position:
21.38°, I 56; 22.18°, I 25; 24.08°, I 49; 24.64°, I 48; 26.11°, I 25; 31.02°, I 100; 31.81°, I 43; 33.01°, I 92; 33.45°, I 28; 37.78°, I 35; 39.50°, I 30; 46.62°, I 25

Cell and atoms:
```
21
Lattice="5.4328 0.0000 0.0000 -0.0974 5.8308 0.0000 -0.5682 -0.6507 8.3113" Properties=species:S:1:pos:R:3 pbc="T T T"
Tb 0.0000 0.0000 0.0000
Tb -0.1526 4.1767 4.5695
Tb 2.2058 1.3197 4.6561
Tb 2.5856 2.2102 8.2022
Mg 0.5942 3.3382 1.3738
Al 2.4876 4.6479 6.0973
Al 5.1456 1.3471 3.0135
Fe -0.2966 1.7061 6.4306
Fe 2.7490 5.1782 2.2720
O 0.8157 -0.0209 3.1953
O 0.4390 1.3902 8.3044
O 0.9665 2.6620 3.1242
O 0.9742 -0.2200 5.9713
O 1.7680 4.6864 0.5813
O 1.4647 3.0053 5.9794
O 3.1342 4.9580 4.3443
O 3.3590 0.4752 6.8277
O 4.0764 1.1931 1.6181
O 3.8991 3.6641 6.7849
O 4.3263 4.1788 1.3184
O 4.3491 1.9104 4.5030
```